# 1
Calculated powder X-ray diffraction pattern
Compound: ZrSc5
Radiation: copper Kα
Structure: the GGA-PBE geometry in Alexandria

Main lines, sorted by position (2θ = 10–80°):
2θ = 20.24°, I 9
2θ = 24.57°, I 11
2θ = 34.61°, I 100
2θ = 35.43°, I 91
2θ = 50.37°, I 32
2θ = 57.38°, I 9
2θ = 63.08°, I 31
2θ = 63.61°, I 14
2θ = 69.27°, I 22
2θ = 74.97°, I 9

Structure:
abc: 5.0669 5.0669 6.4238
angles: 90.00 90.00 120.00
Sites, in units of the cell vectors:
Zr (0.0000, 0.0000, 0.0000)
Sc (0.0000, 0.0000, 0.5000)
Sc (0.3333, 0.6667, 0.2493)
Sc (0.3333, 0.6667, 0.7507)
Sc (0.6667, 0.3333, 0.2493)
Sc (0.6667, 0.3333, 0.7507)

***

# 2
Calculated powder X-ray diffraction pattern
Compound: TbZnH6Ir2
Radiation: copper Kα
Structure: the GGA-PBE geometry in Alexandria

Main lines, sorted by position (2θ = 10–80°):
2θ = 16.91°, I 21
2θ = 23.56°, I 34
2θ = 32.38°, I 92
2θ = 36.75°, I 69
2θ = 40.15°, I 100
2θ = 52.49°, I 24
2θ = 55.55°, I 21
2θ = 63.85°, I 20
2θ = 68.08°, I 22
2θ = 70.73°, I 21

Structure:
abc: 5.8482 5.8482 5.8482
angles: 45.17 45.17 45.17
Sites, in units of the cell vectors:
Tb (0.0000, 0.0000, 0.0000)
Zn (0.5000, 0.5000, 0.5000)
H (0.0542, 0.5592, 0.5592)
H (0.4408, 0.4408, 0.9458)
H (0.4408, 0.9458, 0.4408)
H (0.5592, 0.0542, 0.5592)
H (0.5592, 0.5592, 0.0542)
H (0.9458, 0.4408, 0.4408)
Ir (0.2103, 0.2103, 0.2103)
Ir (0.7897, 0.7897, 0.7897)